Theoretical powder XRD pattern of K2MgV2O7 for Cu Kα, from a cell relaxed with GGA+U.

Structure:
Lattice parameters (Å, degrees): 8.5235 8.5235 11.5860 90.00 90.00 90.00
Space group P4_2/mnm (No. 136)
Symmetry-distinct sites (fractional):
K  0.1479  0.1479  0.0000 x4
K  0.1815  0.1815  0.5000 x4
Mg  0.0000  0.5000  0.2500 x4
V  0.1420  0.8580  0.2871 x8
O  0.0000  0.0000  0.3443 x4
O  0.0890  0.6756  0.3414 x16
O  0.1411  0.8589  0.1421 x8

Largest 10 diffraction maxima, by angle, 2θ = 10–80°:
hkl 1 1 0, 2θ 14.70, intensity 11; hkl 0 0 2, 2θ 15.30, intensity 17; hkl 2 1 0, 2θ 23.34, intensity 13; hkl 1 0 3, 2θ 25.32, intensity 12; hkl 1 1 3, 2θ 27.43, intensity 10; hkl 2 1 2, 2θ 28.02, intensity 100; hkl 3 1 0, 2θ 33.24, intensity 14; hkl 4 0 0, 2θ 42.42, intensity 8; hkl 3 1 4, 2θ 46.00, intensity 15; hkl 5 2 2, 2θ 60.65, intensity 12